(1)
This entry pairs a crystal structure of Na3GePCO7 with its theoretical X-ray powder pattern. Radiation: a wavelength of 1.5418 Å. Structure: a GGA-PBE-relaxed structure.
Neutral-atom scattering factors, no anomalous dispersion.

Lattice parameters (Å, degrees): 5.4533 6.9105 9.4646 90.00 96.53 90.00
Space group P2_1 (No. 4)
Inequivalent atoms, fractional coordinates:
Na (0.0126, 0.0000, 0.0183) [2 per cell]
Na (0.4706, 0.3123, 0.1643) [2 per cell]
Na (0.4734, 0.9626, 0.4638) [2 per cell]
Ge (0.0588, 0.2105, 0.6629) [2 per cell]
P (0.0133, 0.6958, 0.6645) [2 per cell]
C (0.4601, 0.2430, 0.8679) [2 per cell]
O (0.0454, 0.9729, 0.3139) [2 per cell]
O (0.0497, 0.2979, 0.2014) [2 per cell]
O (0.1750, 0.2577, 0.4684) [2 per cell]
O (0.2642, 0.2465, 0.9332) [2 per cell]
O (0.2806, 0.7249, 0.6302) [2 per cell]
O (0.3233, 0.7377, 0.0659) [2 per cell]
O (0.4263, 0.2412, 0.7254) [2 per cell]

Principal peaks in the range 15° ≤ 2θ ≤ 90°, sorted by position:
d 5.418, 16.4 deg, I = 67, (1 0 0); d 4.944, 17.9 deg, I = 43, (1 0 -1); d 3.455, 25.8 deg, I = 89, (0 2 0); d 3.134, 28.5 deg, I = 25, (0 0 3); d 2.857, 31.3 deg, I = 55, (1 0 -3); d 2.832, 31.6 deg, I = 100, (1 2 -1); d 2.709, 33.1 deg, I = 41, (2 0 0); d 2.588, 34.7 deg, I = 41, (1 0 3); d 2.226, 40.5 deg, I = 28, (0 1 4); d 1.879, 48.4 deg, I = 28, (2 2 2)



(2)
This entry pairs a crystal structure of Al3Cu2Ni with its theoretical X-ray powder pattern. Radiation: a wavelength of 1.5418 Å. Structure: a GGA-PBE-relaxed structure.
Neutral-atom scattering factors, no anomalous dispersion.

Lattice parameters (Å, degrees): 2.9843 12.6367 4.1112 90.00 90.00 90.00
Space group Cmmm (No. 65)
Inequivalent atoms, fractional coordinates:
Al (0.0000, 0.0000, 0.0000) [2 per cell]
Al (0.0000, 0.1570, 0.5000) [4 per cell]
Cu (0.0000, 0.3308, 0.0000) [4 per cell]
Ni (0.0000, 0.5000, 0.5000) [2 per cell]

Principal peaks in the range 15° ≤ 2θ ≤ 90°, sorted by position:
d 3.446, 25.9 deg, I = 20, (0 2 1); d 2.904, 30.8 deg, I = 9, (1 1 0); d 2.106, 42.9 deg, I = 25, (0 6 0); d 2.095, 43.2 deg, I = 100, (1 3 1); d 2.056, 44.1 deg, I = 24, (0 0 2); d 1.492, 62.2 deg, I = 8, (2 0 0); d 1.471, 63.2 deg, I = 15, (0 6 2); d 1.214, 78.9 deg, I = 14, (1 9 1); d 1.208, 79.3 deg, I = 8, (2 0 2); d 1.194, 80.4 deg, I = 14, (1 3 3)



(3)
This entry pairs a crystal structure of Tl3TeBr8 with its theoretical X-ray powder pattern. Radiation: a wavelength of 1.5418 Å. Structure: a GGA-PBE-relaxed structure.
Neutral-atom scattering factors, no anomalous dispersion.

Lattice parameters (Å, degrees): 9.8865 9.8865 12.3106 90.00 90.00 120.00
Space group P6_3mc (No. 186)
Inequivalent atoms, fractional coordinates:
Tl (0.1734, 0.3469, 0.0000) [6 per cell]
Te (0.3333, 0.6667, 0.3015) [2 per cell]
Br (0.0000, 0.0000, 0.0848) [2 per cell]
Br (0.0677, 0.5338, 0.1752) [6 per cell]
Br (0.2017, 0.4033, 0.4282) [6 per cell]
Br (0.3333, 0.6667, 0.8803) [2 per cell]

Principal peaks in the range 15° ≤ 2θ ≤ 90°, sorted by position:
d 4.998, 17.7 deg, I = 35, (1 0 2); d 4.043, 22.0 deg, I = 49, (2 0 1); d 3.854, 23.1 deg, I = 27, (1 1 2); d 3.515, 25.3 deg, I = 100, (2 0 2); d 2.962, 30.2 deg, I = 55, (2 0 3); d 2.864, 31.2 deg, I = 50, (2 1 2); d 2.541, 35.3 deg, I = 26, (2 1 3); d 2.472, 36.3 deg, I = 78, (2 2 0); d 2.294, 39.3 deg, I = 29, (2 2 2); d 2.134, 42.3 deg, I = 50, (2 0 5)



(4)
This entry pairs a crystal structure of CeTmHg4 with its theoretical X-ray powder pattern. Radiation: a wavelength of 1.5418 Å. Structure: a GGA-PBE-relaxed structure.
Neutral-atom scattering factors, no anomalous dispersion.

Lattice parameters (Å, degrees): 3.9336 5.2277 7.7234 90.00 104.84 90.00
Space group Pm (No. 6)
Inequivalent atoms, fractional coordinates:
Ce (0.0000, 0.0000, 0.0000) [1 per cell]
Tm (0.2135, 0.5000, 0.4195) [1 per cell]
Hg (0.3305, 0.0000, 0.6615) [1 per cell]
Hg (0.5499, 0.5000, 0.0929) [1 per cell]
Hg (0.6713, 0.0000, 0.3445) [1 per cell]
Hg (0.8763, 0.5000, 0.7437) [1 per cell]

Principal peaks in the range 15° ≤ 2θ ≤ 90°, sorted by position:
d 3.086, 28.9 deg, I = 13, (1 0 1); d 2.658, 33.7 deg, I = 100, (1 1 -2); d 2.614, 34.3 deg, I = 28, (0 2 0); d 2.489, 36.1 deg, I = 12, (0 0 3); d 2.247, 40.1 deg, I = 18, (0 1 3); d 1.967, 46.2 deg, I = 12, (2 0 -1); d 1.572, 58.8 deg, I = 12, (2 2 -1); d 1.517, 61.1 deg, I = 19, (1 3 -2); d 1.480, 62.8 deg, I = 10, (2 1 2); d 1.320, 71.5 deg, I = 11, (1 2 4)



(5)
This entry pairs a crystal structure of Na2ThPbO6 with its theoretical X-ray powder pattern. Radiation: a wavelength of 1.5418 Å. Structure: a GGA-PBE-relaxed structure.
Neutral-atom scattering factors, no anomalous dispersion.

Lattice parameters (Å, degrees): 5.9361 6.0532 10.2729 90.00 124.98 90.00
Space group P2_1/c (No. 14)
Inequivalent atoms, fractional coordinates:
Na (0.2408, 0.0400, 0.2501) [4 per cell]
Th (0.5000, 0.0000, 0.0000) [2 per cell]
Pb (0.0000, 0.0000, 0.5000) [2 per cell]
O (0.1337, 0.2068, 0.9419) [4 per cell]
O (0.2402, 0.6984, 0.9421) [4 per cell]
O (0.3583, 0.0540, 0.7458) [4 per cell]

Principal peaks in the range 15° ≤ 2θ ≤ 90°, sorted by position:
d 4.238, 21.0 deg, I = 100, (1 1 -1); d 4.208, 21.1 deg, I = 48, (0 0 2); d 3.027, 29.5 deg, I = 27, (0 2 0); d 2.992, 29.9 deg, I = 53, (1 1 1); d 2.980, 30.0 deg, I = 53, (1 1 -3); d 2.968, 30.1 deg, I = 24, (2 0 -2); d 2.119, 42.7 deg, I = 27, (2 2 -2); d 1.889, 48.2 deg, I = 25, (2 2 -4); d 1.881, 48.4 deg, I = 22, (1 1 -5); d 1.740, 52.6 deg, I = 24, (1 3 -3)



(6)
This entry pairs a crystal structure of Ac4Ir2Cl3 with its theoretical X-ray powder pattern. Radiation: a wavelength of 1.5418 Å. Structure: a GGA-PBE-relaxed structure.
Neutral-atom scattering factors, no anomalous dispersion.

Lattice parameters (Å, degrees): 7.4979 4.3287 18.6639 90.00 90.04 90.00
Space group C2/m (No. 12)
Inequivalent atoms, fractional coordinates:
Ac (0.0008, 0.0000, 0.3065) [4 per cell]
Ac (0.1661, 0.5000, 0.8721) [4 per cell]
Ir (0.1673, 0.5000, 0.2125) [4 per cell]
Cl (0.0000, 0.0000, 0.0000) [2 per cell]
Cl (0.1657, 0.5000, 0.5965) [4 per cell]

Principal peaks in the range 15° ≤ 2θ ≤ 90°, sorted by position:
d 3.675, 24.2 deg, I = 14, (2 0 1); d 3.211, 27.8 deg, I = 100, (2 0 3); d 2.645, 33.9 deg, I = 29, (2 0 5); d 2.394, 37.6 deg, I = 31, (1 1 6); d 2.164, 41.7 deg, I = 39, (3 1 0); d 2.108, 42.9 deg, I = 15, (3 1 2); d 1.981, 45.8 deg, I = 16, (1 1 8); d 1.795, 50.9 deg, I = 19, (2 2 3); d 1.605, 57.4 deg, I = 9, (4 0 6); d 1.382, 67.8 deg, I = 16, (5 1 3)



(7)
This entry pairs a crystal structure of Rb2Fe2Cl7 with its theoretical X-ray powder pattern. Radiation: a wavelength of 1.5418 Å. Structure: a GGA-PBE-relaxed structure.
Neutral-atom scattering factors, no anomalous dispersion.

Lattice parameters (Å, degrees): 10.0416 12.9448 6.5728 90.00 99.42 90.00
Space group C2/m (No. 12)
Inequivalent atoms, fractional coordinates:
Rb (0.0000, 0.1990, 0.0000) [4 per cell]
Fe (0.2158, 0.5000, 0.4209) [4 per cell]
Cl (0.0000, 0.5000, 0.5000) [2 per cell]
Cl (0.1405, 0.0000, 0.2825) [4 per cell]
Cl (0.2360, 0.3562, 0.2394) [8 per cell]

Principal peaks in the range 15° ≤ 2θ ≤ 90°, sorted by position:
d 4.712, 18.8 deg, I = 46, (1 1 1); d 4.581, 19.4 deg, I = 100, (0 2 1); d 4.289, 20.7 deg, I = 57, (2 0 -1); d 3.956, 22.5 deg, I = 16, (1 3 0); d 3.933, 22.6 deg, I = 27, (2 2 0); d 3.283, 27.2 deg, I = 25, (1 3 1); d 3.069, 29.1 deg, I = 18, (3 1 -1); d 2.679, 33.5 deg, I = 18, (2 2 -2); d 2.431, 37.0 deg, I = 24, (1 3 2); d 2.292, 39.3 deg, I = 22, (4 2 -1)



(8)
This entry pairs a crystal structure of RbTlGeBr4 with its theoretical X-ray powder pattern. Radiation: a wavelength of 1.5418 Å. Structure: a GGA-PBE-relaxed structure.
Neutral-atom scattering factors, no anomalous dispersion.

Lattice parameters (Å, degrees): 5.5254 5.5254 17.0397 90.00 90.00 90.00
Space group I4mm (No. 107)
Inequivalent atoms, fractional coordinates:
Rb (0.0000, 0.0000, 0.0000) [2 per cell]
Tl (0.0000, 0.0000, 0.7175) [2 per cell]
Ge (0.0000, 0.0000, 0.3570) [2 per cell]
Br (0.0000, 0.0000, 0.1994) [2 per cell]
Br (0.0000, 0.0000, 0.5322) [2 per cell]
Br (0.0000, 0.5000, 0.3590) [4 per cell]

Principal peaks in the range 15° ≤ 2θ ≤ 90°, sorted by position:
d 3.961, 22.4 deg, I = 29, (1 0 3); d 3.907, 22.8 deg, I = 67, (1 1 0); d 3.551, 25.1 deg, I = 54, (1 1 2); d 2.901, 30.8 deg, I = 30, (1 0 5); d 2.879, 31.1 deg, I = 88, (1 1 4); d 2.840, 31.5 deg, I = 38, (0 0 6); d 2.763, 32.4 deg, I = 100, (2 0 0); d 1.980, 45.8 deg, I = 53, (2 0 6); d 1.954, 46.5 deg, I = 36, (2 2 0); d 1.617, 57.0 deg, I = 31, (3 1 4)



Please write out number 7 again, unchanged.
This entry pairs a crystal structure of Rb2Fe2Cl7 with its theoretical X-ray powder pattern. Radiation: a wavelength of 1.5418 Å. Structure: a GGA-PBE-relaxed structure.
Neutral-atom scattering factors, no anomalous dispersion.

Lattice parameters (Å, degrees): 10.0416 12.9448 6.5728 90.00 99.42 90.00
Space group C2/m (No. 12)
Inequivalent atoms, fractional coordinates:
Rb (0.0000, 0.1990, 0.0000) [4 per cell]
Fe (0.2158, 0.5000, 0.4209) [4 per cell]
Cl (0.0000, 0.5000, 0.5000) [2 per cell]
Cl (0.1405, 0.0000, 0.2825) [4 per cell]
Cl (0.2360, 0.3562, 0.2394) [8 per cell]

Principal peaks in the range 15° ≤ 2θ ≤ 90°, sorted by position:
d 4.712, 18.8 deg, I = 46, (1 1 1); d 4.581, 19.4 deg, I = 100, (0 2 1); d 4.289, 20.7 deg, I = 57, (2 0 -1); d 3.956, 22.5 deg, I = 16, (1 3 0); d 3.933, 22.6 deg, I = 27, (2 2 0); d 3.283, 27.2 deg, I = 25, (1 3 1); d 3.069, 29.1 deg, I = 18, (3 1 -1); d 2.679, 33.5 deg, I = 18, (2 2 -2); d 2.431, 37.0 deg, I = 24, (1 3 2); d 2.292, 39.3 deg, I = 22, (4 2 -1)